Starting from a crystal structure in the Materials Project, relaxed with PBE+U, the powder XRD pattern of Rb2MoS2O2 was simulated for copper Kα.
Intensities are scaled so that the largest is 100.

The 10 most intense peaks (5° ≤ 2θ ≤ 70°), in order of rising 2θ:
2θ (°)  I (rel.)
14.77  31
20.36  62
25.86  44
25.99  43
26.52  100
28.75  56
29.11  37
29.78  34
31.56  36
43.19  41

Structural model:
```
data_Rb2MoS2O2
_space_group_name_H-M_alt 'P 1'
_space_group_IT_number 1
_cell_length_a 6.9734
_cell_length_b 6.9734
_cell_length_c 10.1899
_cell_angle_alpha 115.85
_cell_angle_beta 115.85
_cell_angle_gamma 64.62
loop_
_space_group_symop_operation_xyz
'x,y,z'
loop_
_atom_site_label
_atom_site_type_symbol
_atom_site_fract_x
_atom_site_fract_y
_atom_site_fract_z
_atom_site_occupancy
Rb1 Rb 0.1562 0.2649 0.3350 1
Rb2 Rb 0.2649 0.1562 0.8350 1
Rb3 Rb 0.7351 0.8438 0.1650 1
Rb4 Rb 0.8438 0.7351 0.6650 1
Mo1 Mo 0.4217 0.5783 0.2500 1
Mo2 Mo 0.5783 0.4217 0.7500 1
S1 S 0.2301 0.7401 0.0642 1
S2 S 0.2599 0.7699 0.4358 1
S3 S 0.7401 0.2301 0.5642 1
S4 S 0.7699 0.2599 0.9358 1
O1 O 0.2981 0.4109 0.6738 1
O2 O 0.4109 0.2981 0.1738 1
O3 O 0.5891 0.7019 0.8262 1
O4 O 0.7019 0.5891 0.3262 1
```